AlNi5: theoretical X-ray diffraction stick pattern (copper Kα), based on a DFT-relaxed cell (PBE, Alexandria).
Neutral-atom scattering factors, no anomalous dispersion.

Largest 10 diffraction maxima, in order of rising 2θ, 2θ = 10–90°:
hkl  2θ (°)  I/Imax
0 2 0  16.69  4
0 0 1  25.11  1
1 1 0  26.47  3
0 2 1  30.31  2
1 1 1  36.81  2
1 3 1  44.24  100
2 0 0  51.51  31
0 6 0  51.63  15
2 0 2  75.86  18
0 6 2  75.96  9

Structural model:
Cell lengths 3.5508, 10.6214, 3.5463 Å; angles 90.00, 90.00, 90.00 degrees
Fractional positions:
Al1 0.0000 0.0000 0.0000
Al2 0.5000 0.5000 0.0000
Ni1 0.0000 0.1689 0.5000
Ni2 0.0000 0.3327 0.0000
Ni3 0.0000 0.5000 0.5000
Ni4 0.0000 0.6673 0.0000
Ni5 0.0000 0.8311 0.5000
Ni6 0.5000 0.0000 0.5000
Ni7 0.5000 0.1673 0.0000
Ni8 0.5000 0.3311 0.5000
Ni9 0.5000 0.6689 0.5000
Ni10 0.5000 0.8327 0.0000